1.
MgSi2: theoretical XRD peak list (Cu Kα X-rays), based on a structure optimized by DFT (GGA-PBE).

Most intense lines, 2θ = 10–80°, by intensity:
- 40.53 deg, I = 100
- 39.77 deg, I = 56
- 39.12 deg, I = 52
- 36.25 deg, I = 37
- 54.89 deg, I = 21
- 72.70 deg, I = 18
- 35.08 deg, I = 17
- 32.26 deg, I = 14
- 39.62 deg, I = 11
- 69.07 deg, I = 10
- 54.75 deg, I = 10
- 54.05 deg, I = 9

Structural model:
```
MgSi2
1.0
4.6163 -2.2666 0.0000
4.6163 2.2666 0.0000
-3.5769 0.0000 9.9125
Mg Si
4 8
Direct
0.0000 0.0000 0.0000
0.0743 0.0743 0.7370
0.5000 0.5000 0.5000
0.9257 0.9257 0.2630
0.1900 0.1900 0.4797
0.2293 0.2293 0.2569
0.3214 0.3214 0.0281
0.3943 0.3943 0.8226
0.6057 0.6057 0.1774
0.6786 0.6786 0.9719
0.7707 0.7707 0.7431
0.8100 0.8100 0.5203
```

=====

2.
CrSn4Au: theoretical XRD peak list (Cu Kα X-rays), based on a structure optimized by DFT (GGA-PBE).

Most intense lines, 2θ = 10–80°, by intensity:
- 33.21 deg, I = 100
- 41.49 deg, I = 53
- 43.69 deg, I = 44
- 31.95 deg, I = 43
- 53.30 deg, I = 32
- 29.01 deg, I = 31
- 77.22 deg, I = 26
- 57.75 deg, I = 21
- 34.57 deg, I = 13
- 68.11 deg, I = 12
- 60.12 deg, I = 12
- 12.86 deg, I = 11

Structural model:
```
CrSn4Au
1.0
6.8829 0.0000 0.0000
0.0000 6.8829 0.0000
0.0000 0.0000 5.6017
Cr Sn Au
2 8 2
Direct
0.0000 0.0000 0.2500
0.0000 0.0000 0.7500
0.1301 0.3221 0.0000
0.1301 0.6779 0.5000
0.3221 0.1301 0.5000
0.3221 0.8699 0.0000
0.6779 0.1301 0.0000
0.6779 0.8699 0.5000
0.8699 0.3221 0.5000
0.8699 0.6779 0.0000
0.5000 0.5000 0.0000
0.5000 0.5000 0.5000
```

=====

3.
YMg6Bi: theoretical XRD peak list (Cu Kα X-rays), based on a structure optimized by DFT (GGA-PBE).

Most intense lines, 2θ = 10–80°, by intensity:
- 36.29 deg, I = 100
- 15.16 deg, I = 70
- 22.40 deg, I = 64
- 16.40 deg, I = 62
- 34.91 deg, I = 57
- 32.14 deg, I = 41
- 33.14 deg, I = 39
- 46.84 deg, I = 33
- 15.91 deg, I = 27
- 22.92 deg, I = 25
- 32.77 deg, I = 24
- 30.60 deg, I = 22

Structural model:
```
YMg6Bi
1.0
5.4061 0.0000 0.0000
0.0000 3.1680 5.8431
0.0000 -3.1680 5.8431
Y Mg Bi
1 6 1
Direct
0.0000 0.0000 0.0000
0.0000 0.4954 0.9995
0.0000 0.9995 0.4954
0.5000 0.1540 0.6593
0.5000 0.1655 0.1655
0.5000 0.6593 0.1540
0.5000 0.6679 0.6679
0.0000 0.4966 0.4966
```

=====

4.
GdTiNbBi2O9: theoretical XRD peak list (Cu Kα X-rays), based on a structure optimized by DFT (GGA-PBE).

Most intense lines, 2θ = 10–80°, by intensity:
- 28.98 deg, I = 100
- 29.14 deg, I = 100
- 32.51 deg, I = 36
- 46.99 deg, I = 34
- 55.89 deg, I = 33
- 32.99 deg, I = 32
- 35.49 deg, I = 28
- 14.00 deg, I = 26
- 48.88 deg, I = 25
- 23.27 deg, I = 18
- 56.65 deg, I = 16
- 56.39 deg, I = 15

Structural model:
```
GdTiNbBi2O9
1.0
5.4307 0.0000 0.0000
0.0000 5.5087 0.0000
-2.6217 0.0000 12.6509
Gd Ti Nb Bi O
2 2 2 4 18
Direct
0.2418 0.0000 0.9998
0.7582 0.5000 0.0002
0.3350 0.5384 0.1687
0.6650 0.0384 0.8313
0.1771 0.5432 0.8312
0.8229 0.0432 0.1688
0.0211 0.9896 0.6026
0.4259 0.9844 0.3980
0.5741 0.4844 0.6020
0.9789 0.4896 0.3974
0.0164 0.5544 0.6872
0.0176 0.7766 0.1185
0.1000 0.2777 0.1187
0.2447 0.7535 0.5012
0.2579 0.2550 0.5011
0.3195 0.5582 0.3067
0.3425 0.5881 0.9996
0.3589 0.8682 0.8269
0.4758 0.3632 0.8266
0.5242 0.8632 0.1734
0.6411 0.3682 0.1731
0.6575 0.0881 0.0004
0.6805 0.0582 0.6933
0.7421 0.7550 0.4989
0.7553 0.2535 0.4988
0.9000 0.7777 0.8813
0.9824 0.2766 0.8815
0.9836 0.0544 0.3128
```

=====

5.
BaTb2SmO6: theoretical XRD peak list (Cu Kα X-rays), based on a structure optimized by DFT (GGA-PBE).

Most intense lines, 2θ = 10–80°, by intensity:
- 29.10 deg, I = 100
- 29.33 deg, I = 59
- 51.94 deg, I = 25
- 51.45 deg, I = 25
- 51.80 deg, I = 23
- 41.29 deg, I = 16
- 41.85 deg, I = 14
- 42.07 deg, I = 13
- 69.07 deg, I = 10
- 67.89 deg, I = 9
- 60.25 deg, I = 9
- 60.42 deg, I = 8

Structural model:
```
BaTb2SmO6
1.0
4.2958 -4.3173 0.0000
4.2958 4.3173 0.0000
0.0000 0.0000 4.3728
Ba Tb Sm O
1 2 1 6
Direct
0.0000 0.0000 0.0000
0.0000 0.5000 0.5000
0.5000 0.0000 0.5000
0.5000 0.5000 0.0000
0.0000 0.5000 0.0000
0.1811 0.8189 0.5000
0.3479 0.3479 0.5000
0.5000 0.0000 0.0000
0.6521 0.6521 0.5000
0.8189 0.1811 0.5000
```

=====

6.
Sr2NdCu3Pb2O8: theoretical XRD peak list (Cu Kα X-rays), based on a structure optimized by DFT (GGA-PBE).

Most intense lines, 2θ = 10–80°, by intensity:
- 32.22 deg, I = 100
- 32.50 deg, I = 65
- 32.72 deg, I = 64
- 32.04 deg, I = 49
- 31.82 deg, I = 49
- 23.62 deg, I = 37
- 46.92 deg, I = 30
- 46.65 deg, I = 30
- 58.10 deg, I = 29
- 57.99 deg, I = 20
- 43.57 deg, I = 20
- 27.80 deg, I = 19

Structural model:
```
Sr2NdCu3Pb2O8
1.0
3.8730 0.0000 0.0000
0.0262 3.8942 0.0000
0.0783 0.2068 16.0474
Sr Nd Cu Pb O
2 1 3 2 8
Direct
0.0008 0.0052 0.2768
0.9992 0.9948 0.7232
0.0000 0.0000 0.5000
0.0000 0.0000 0.0000
0.4997 0.4992 0.6097
0.5003 0.5008 0.3903
0.4980 0.5062 0.8891
0.5020 0.4938 0.1109
0.9999 0.4990 0.5972
0.0001 0.5010 0.4028
0.0314 0.0913 0.1137
0.4959 0.4976 0.7529
0.5005 0.9998 0.4026
0.4995 0.0002 0.5974
0.5041 0.5024 0.2471
0.9686 0.9087 0.8863
```

=====

7.
GaBH6: theoretical XRD peak list (Cu Kα X-rays), based on a structure optimized by DFT (GGA-PBE).

Most intense lines, 2θ = 10–80°, by intensity:
- 21.71 deg, I = 100
- 22.46 deg, I = 36
- 21.51 deg, I = 28
- 27.86 deg, I = 16
- 25.86 deg, I = 12
- 43.57 deg, I = 11
- 20.18 deg, I = 11
- 37.85 deg, I = 10
- 33.33 deg, I = 8
- 41.38 deg, I = 8
- 37.59 deg, I = 8
- 47.47 deg, I = 7

Structural model:
```
GaBH6
1.0
6.9710 -4.7040 0.0000
6.9710 4.7040 0.0000
-6.2684 0.0000 8.2627
Ga B H
6 6 36
Direct
0.1778 0.8222 0.7500
0.1995 0.4198 0.2095
0.4198 0.1995 0.7095
0.5802 0.8005 0.2905
0.8005 0.5802 0.7905
0.8222 0.1778 0.2500
0.0914 0.2161 0.5107
0.2161 0.0914 0.0107
0.3420 0.6580 0.2500
0.6580 0.3420 0.7500
0.7839 0.9086 0.9893
0.9086 0.7839 0.4893
0.0061 0.5082 0.8746
0.0282 0.6462 0.4779
0.0633 0.0881 0.3725
0.0881 0.0633 0.8725
0.1170 0.1432 0.5966
0.1432 0.1170 0.0966
0.1559 0.6855 0.7955
0.2278 0.2685 0.5342
0.2583 0.7201 0.3372
0.2685 0.2278 0.0342
0.2799 0.7417 0.1628
0.3145 0.8441 0.7045
0.3346 0.3830 0.3640
0.3422 0.4900 0.1562
0.3538 0.9718 0.0221
0.3830 0.3346 0.8640
0.4900 0.3422 0.6562
0.4918 0.9939 0.6254
0.5082 0.0061 0.3746
0.5100 0.6578 0.3438
0.6170 0.6654 0.1360
0.6462 0.0282 0.9779
0.6578 0.5100 0.8438
0.6654 0.6170 0.6360
0.6855 0.1559 0.2955
0.7201 0.2583 0.8372
0.7315 0.7722 0.9658
0.7417 0.2799 0.6628
0.7722 0.7315 0.4658
0.8441 0.3145 0.2045
0.8568 0.8830 0.9034
0.8830 0.8568 0.4034
0.9119 0.9367 0.1275
0.9367 0.9119 0.6275
0.9718 0.3538 0.5221
0.9939 0.4918 0.1254
```

=====

8.
Na2CuAsF6: theoretical XRD peak list (Cu Kα X-rays), based on a structure optimized by DFT (GGA-PBE).

Most intense lines, 2θ = 10–80°, by intensity:
- 29.96 deg, I = 100
- 21.06 deg, I = 97
- 42.89 deg, I = 72
- 62.26 deg, I = 41
- 53.20 deg, I = 40
- 48.25 deg, I = 39
- 66.51 deg, I = 17
- 70.62 deg, I = 17
- 78.57 deg, I = 12
- 18.22 deg, I = 1
- 36.91 deg, I = 1

Structural model:
```
Na2CuAsF6
1.0
0.0000 4.2177 4.2177
4.2177 0.0000 4.2177
4.2177 4.2177 0.0000
Na Cu As F
2 1 1 6
Direct
0.2500 0.2500 0.2500
0.7500 0.7500 0.7500
0.0000 0.0000 0.0000
0.5000 0.5000 0.5000
0.2545 0.2545 0.7455
0.2545 0.7455 0.2545
0.2545 0.7455 0.7455
0.7455 0.2545 0.2545
0.7455 0.2545 0.7455
0.7455 0.7455 0.2545
```

=====

9.
H6PbCI3N: theoretical XRD peak list (Cu Kα X-rays), based on a structure optimized by DFT (GGA-PBE).

Most intense lines, 2θ = 10–80°, by intensity:
- 13.76 deg, I = 100
- 27.71 deg, I = 77
- 13.64 deg, I = 48
- 31.07 deg, I = 44
- 39.59 deg, I = 41
- 27.48 deg, I = 40
- 30.97 deg, I = 33
- 39.42 deg, I = 30
- 30.82 deg, I = 27
- 42.03 deg, I = 23
- 42.13 deg, I = 16
- 49.00 deg, I = 15

Structural model:
```
H6PbCI3N
1.0
6.4367 0.0000 0.0000
0.0000 6.4384 0.0000
-0.0475 0.0000 6.4919
H Pb C I N
6 1 1 3 1
Direct
0.0000 0.0000 0.0000
0.0252 0.1304 0.7812
0.0252 0.8696 0.7812
0.6621 0.1389 0.8891
0.6621 0.8611 0.8891
0.6888 0.0000 0.6520
0.2964 0.5000 0.2960
0.7258 0.0000 0.8167
0.2494 0.5000 0.7926
0.2583 0.0000 0.3260
0.7828 0.5000 0.2692
0.9561 0.0000 0.8451
```

=====

10.
MgAl2Si2: theoretical XRD peak list (Cu Kα X-rays), based on a structure optimized by DFT (GGA-PBE).

Most intense lines, 2θ = 10–80°, by intensity:
- 37.02 deg, I = 100
- 44.37 deg, I = 94
- 28.56 deg, I = 72
- 48.30 deg, I = 44
- 59.12 deg, I = 24
- 25.18 deg, I = 23
- 76.82 deg, I = 22
- 76.18 deg, I = 16
- 67.66 deg, I = 16
- 61.64 deg, I = 15
- 53.62 deg, I = 11
- 26.69 deg, I = 11

Structural model:
```
MgAl2Si2
1.0
4.0834 0.0000 0.0000
-2.0417 3.5363 0.0000
0.0000 0.0000 6.6795
Mg Al Si
1 2 2
Direct
0.0000 0.0000 0.0000
0.3333 0.6667 0.6347
0.6667 0.3333 0.3653
0.3333 0.6667 0.2437
0.6667 0.3333 0.7563
```

=====

11.
BaMg14BiO16: theoretical XRD peak list (Cu Kα X-rays), based on a structure optimized by DFT (GGA-PBE).

Most intense lines, 2θ = 10–80°, by intensity:
- 40.57 deg, I = 100
- 14.08 deg, I = 91
- 23.80 deg, I = 71
- 34.43 deg, I = 68
- 57.34 deg, I = 66
- 38.73 deg, I = 59
- 19.96 deg, I = 57
- 27.76 deg, I = 52
- 37.37 deg, I = 48
- 31.81 deg, I = 45
- 19.09 deg, I = 31
- 72.58 deg, I = 30

Structural model:
```
BaMg14BiO16
1.0
8.8950 0.0000 0.0000
0.0000 8.8950 0.0000
0.0000 0.0000 4.6495
Ba Mg Bi O
1 14 1 16
Direct
0.0000 0.0000 0.0000
0.0000 0.2623 0.5000
0.0000 0.5000 0.0000
0.0000 0.7377 0.5000
0.2394 0.5000 0.5000
0.2505 0.2505 0.0000
0.2505 0.7495 0.0000
0.2623 0.0000 0.5000
0.5000 0.0000 0.0000
0.5000 0.2394 0.5000
0.5000 0.7606 0.5000
0.7377 0.0000 0.5000
0.7495 0.2505 0.0000
0.7495 0.7495 0.0000
0.7606 0.5000 0.5000
0.5000 0.5000 0.0000
0.0000 0.0000 0.5000
0.0000 0.2789 0.0000
0.0000 0.5000 0.5000
0.0000 0.7211 0.0000
0.2346 0.5000 0.0000
0.2502 0.2502 0.5000
0.2502 0.7498 0.5000
0.2789 0.0000 0.0000
0.5000 0.0000 0.5000
0.5000 0.2346 0.0000
0.5000 0.5000 0.5000
0.5000 0.7654 0.0000
0.7211 0.0000 0.0000
0.7498 0.2502 0.5000
0.7498 0.7498 0.5000
0.7654 0.5000 0.0000
```